For Ac2Cd5Ga, the PBE geometry in Alexandria gives the theoretical PXRD pattern in this record (copper Kα).
Lines closer than 0.1° are merged.

Largest 10 diffraction maxima, by intensity, 10° ≤ 2θ ≤ 90°:
2θ 29.54, rel. 100, hkl 1 3 2
2θ 30.75, rel. 95, hkl 1 5 0
2θ 32.98, rel. 68, hkl 1 1 3
2θ 36.20, rel. 56, hkl 2 0 0
2θ 35.06, rel. 26, hkl 0 6 2
2θ 40.71, rel. 23, hkl 0 6 3
2θ 25.90, rel. 20, hkl 1 1 2
2θ 61.19, rel. 18, hkl 1 3 6
2θ 51.28, rel. 18, hkl 2 6 2
2θ 36.30, rel. 17, hkl 0 0 4

Cell and atoms:
Cell lengths 4.9633, 17.9427, 9.8995 Å; angles 90.00, 90.00, 90.00 degrees
Space group Cmcm (No. 63)
Inequivalent atoms, fractional coordinates:
Ac1 0.0000 0.0000 0.0000 [4 per cell]
Ac2 0.0000 0.2014 0.2500 [4 per cell]
Cd1 0.0000 0.1871 0.6050 [8 per cell]
Cd2 0.0000 0.3540 0.5272 [8 per cell]
Cd3 0.0000 0.4080 0.2500 [4 per cell]
Ga1 0.0000 0.4430 0.7500 [4 per cell]

---

For Ca3Zn2Cd2Hg4, the PBE geometry in Alexandria gives the theoretical PXRD pattern in this record (copper Kα).
Lines closer than 0.1° are merged.

Largest 10 diffraction maxima, by intensity, 10° ≤ 2θ ≤ 90°:
2θ 37.40, rel. 100, hkl 1 1 0
2θ 33.50, rel. 73, hkl 0 1 4
2θ 24.89, rel. 56, hkl 0 1 2
2θ 21.33, rel. 50, hkl 1 0 0
2θ 45.82, rel. 47, hkl 1 1 4
2θ 25.52, rel. 36, hkl 0 0 4
2θ 44.61, rel. 28, hkl 1 0 6
2θ 51.07, rel. 22, hkl 2 0 4
2θ 64.99, rel. 21, hkl 1 2 4
2θ 72.50, rel. 18, hkl 2 1 6

Cell and atoms:
Cell lengths 4.8092, 4.8092, 13.9610 Å; angles 90.00, 90.00, 120.00 degrees
Space group P-3m1 (No. 164)
Inequivalent atoms, fractional coordinates:
Ca1 0.0000 0.0000 0.0000 [1 per cell]
Ca2 0.0000 0.0000 0.2596 [2 per cell]
Zn1 0.3333 0.6667 0.1344 [2 per cell]
Cd1 0.3333 0.6667 0.5706 [2 per cell]
Hg1 0.3333 0.6667 0.3595 [2 per cell]
Hg2 0.3333 0.6667 0.8738 [2 per cell]

---

For La3Si3Ni, the PBE geometry in Alexandria gives the theoretical PXRD pattern in this record (copper Kα).
Lines closer than 0.1° are merged.

Largest 10 diffraction maxima, by intensity, 10° ≤ 2θ ≤ 90°:
2θ 31.49, rel. 100, hkl 1 1 2
2θ 31.81, rel. 62, hkl 0 1 5
2θ 26.25, rel. 53, hkl 1 0 3
2θ 55.63, rel. 25, hkl 2 1 5
2θ 41.15, rel. 25, hkl 0 2 0
2θ 35.87, rel. 23, hkl 1 1 4
2θ 49.48, rel. 22, hkl 1 2 3
2θ 44.39, rel. 20, hkl 2 0 0
2θ 29.23, rel. 19, hkl 0 0 6
2θ 40.94, rel. 17, hkl 1 0 7

Cell and atoms:
Cell lengths 4.0820, 4.3872, 18.3329 Å; angles 90.00, 90.00, 90.00 degrees
Space group Imm2 (No. 44)
Inequivalent atoms, fractional coordinates:
La1 0.0000 0.0000 0.0000 [2 per cell]
La2 0.0000 0.0000 0.3654 [2 per cell]
La3 0.0000 0.5000 0.6799 [2 per cell]
Si1 0.0000 0.0000 0.5486 [2 per cell]
Si2 0.0000 0.0000 0.8170 [2 per cell]
Si3 0.0000 0.5000 0.2379 [2 per cell]
Ni1 0.0000 0.5000 0.1132 [2 per cell]

---

For Y8PuTh2, the PBE geometry in Alexandria gives the theoretical PXRD pattern in this record (copper Kα).
Lines closer than 0.1° are merged.

Largest 10 diffraction maxima, by intensity, 10° ≤ 2θ ≤ 90°:
2θ 31.59, rel. 100, hkl 2 2 -2
2θ 31.78, rel. 61, hkl 0 2 2
2θ 33.12, rel. 52, hkl 2 0 -4
2θ 27.67, rel. 52, hkl 3 1 -1
2θ 15.62, rel. 38, hkl 1 1 0
2θ 35.70, rel. 34, hkl 2 2 1
2θ 25.25, rel. 31, hkl 0 2 0
2θ 32.36, rel. 28, hkl 4 0 -2
2θ 32.85, rel. 25, hkl 2 0 2
2θ 24.81, rel. 24, hkl 2 0 1

Cell and atoms:
Cell lengths 11.0663, 7.0531, 10.8195 Å; angles 90.00, 120.21, 90.00 degrees
Space group C2/m (No. 12)
Inequivalent atoms, fractional coordinates:
Y1 0.0118 0.2421 0.2690 [8 per cell]
Y2 0.1800 0.5000 0.6254 [4 per cell]
Y3 0.1805 0.5000 0.0537 [4 per cell]
Pu1 0.0000 0.0000 0.0000 [2 per cell]
Th1 0.1778 0.0000 0.5935 [4 per cell]

---

For CsCePdSe2, the PBE geometry in Alexandria gives the theoretical PXRD pattern in this record (copper Kα).
Lines closer than 0.1° are merged.

Largest 10 diffraction maxima, by intensity, 10° ≤ 2θ ≤ 90°:
2θ 24.60, rel. 100, hkl 1 1 1
2θ 10.28, rel. 89, hkl 1 0 0
2θ 32.10, rel. 60, hkl 1 1 2
2θ 33.23, rel. 60, hkl 2 0 2
2θ 29.27, rel. 53, hkl 1 1 -2
2θ 20.64, rel. 47, hkl 2 0 0
2θ 38.19, rel. 46, hkl 2 1 2
2θ 27.56, rel. 41, hkl 2 0 -2
2θ 39.71, rel. 40, hkl 3 1 -2
2θ 41.99, rel. 39, hkl 4 0 0

Cell and atoms:
Cell lengths 8.7544, 4.8857, 8.1292 Å; angles 90.00, 100.52, 90.00 degrees
Space group P2/c (No. 13)
Inequivalent atoms, fractional coordinates:
Cs1 0.0000 0.1860 0.2500 [2 per cell]
Ce1 0.5000 0.4768 0.7500 [2 per cell]
Pd1 0.5000 0.0000 0.0000 [2 per cell]
Se1 0.2742 0.3126 0.9641 [4 per cell]

---

For Y3Sc5Bi8, the PBE geometry in Alexandria gives the theoretical PXRD pattern in this record (copper Kα).
Lines closer than 0.1° are merged.

Largest 10 diffraction maxima, by intensity, 10° ≤ 2θ ≤ 90°:
2θ 29.03, rel. 100, hkl 0 2 4
2θ 41.51, rel. 76, hkl 2 2 0
2θ 25.07, rel. 53, hkl 2 0 2
2θ 68.16, rel. 34, hkl 2 4 4
2θ 49.11, rel. 28, hkl 0 4 2
2θ 51.45, rel. 27, hkl 4 0 4
2θ 75.74, rel. 26, hkl 6 0 0
2θ 60.16, rel. 13, hkl 0 4 8
2θ 66.21, rel. 12, hkl 4 2 2
2θ 81.25, rel. 9, hkl 6 0 6

Cell and atoms:
Cell lengths 8.7019, 8.7019, 21.3073 Å; angles 90.00, 90.00, 120.00 degrees
Space group R-3m (No. 166, hexagonal axes)
Inequivalent atoms, fractional coordinates:
Y1 0.0000 0.5000 0.0000 [9 per cell]
Sc1 0.0000 0.0000 0.0000 [3 per cell]
Sc2 0.0000 0.0000 0.5000 [3 per cell]
Sc3 0.0000 0.5000 0.5000 [9 per cell]
Bi1 0.0000 0.0000 0.2449 [6 per cell]
Bi2 0.0068 0.5034 0.7534 [18 per cell]

---

For NdCoC2, the PBE geometry in Alexandria gives the theoretical PXRD pattern in this record (copper Kα).
Lines closer than 0.1° are merged.

Largest 10 diffraction maxima, by intensity, 10° ≤ 2θ ≤ 90°:
2θ 34.19, rel. 100, hkl 1 0 4
2θ 29.92, rel. 81, hkl 1 0 3
2θ 35.64, rel. 79, hkl 1 1 2
2θ 33.94, rel. 69, hkl 1 1 1
2θ 39.08, rel. 67, hkl 1 0 5
2θ 48.32, rel. 59, hkl 2 0 1
2θ 67.38, rel. 45, hkl 2 1 6
2θ 24.57, rel. 39, hkl 0 0 4
2θ 55.55, rel. 34, hkl 1 2 2
2θ 24.22, rel. 31, hkl 1 0 1

Cell and atoms:
Cell lengths 3.7993, 3.7993, 14.4956 Å; angles 90.00, 90.00, 90.00 degrees
Space group P4_1 (No. 76)
Inequivalent atoms, fractional coordinates:
Nd1 0.1415 0.1430 0.0000 [4 per cell]
Co1 0.3540 0.3626 0.5963 [4 per cell]
C1 0.1433 0.6421 0.1363 [4 per cell]
C2 0.3493 0.3591 0.4626 [4 per cell]

---

For TbPmYMg, the PBE geometry in Alexandria gives the theoretical PXRD pattern in this record (copper Kα).
Lines closer than 0.1° are merged.

Largest 10 diffraction maxima, by intensity, 10° ≤ 2θ ≤ 90°:
2θ 31.36, rel. 100, hkl 1 0 2
2θ 34.70, rel. 40, hkl 1 1 0
2θ 60.12, rel. 31, hkl 2 1 2
2θ 26.26, rel. 26, hkl 1 0 1
2θ 53.60, rel. 19, hkl 1 1 4
2θ 49.89, rel. 14, hkl 2 0 0
2θ 39.53, rel. 12, hkl 0 0 4
2θ 46.09, rel. 11, hkl 1 1 3
2θ 65.45, rel. 10, hkl 2 0 4
2θ 29.38, rel. 9, hkl 0 0 3

Cell and atoms:
Cell lengths 3.6558, 3.6558, 9.1190 Å; angles 90.00, 90.00, 90.00 degrees
Space group P4mm (No. 99)
Inequivalent atoms, fractional coordinates:
Tb1 0.0000 0.0000 0.0000 [1 per cell]
Pm1 0.5000 0.5000 0.7288 [1 per cell]
Y1 0.0000 0.0000 0.4543 [1 per cell]
Mg1 0.5000 0.5000 0.2281 [1 per cell]